(1)
Structure and theoretical powder XRD pattern of HfCrCuS4 (DFT lattice parameters and positions (PBE); Cu Kα X-rays).

Crystal structure
Lattice parameters (Å, degrees): 12.650 3.587 6.130 90.00 98.53 90.00
Space group Cm (No. 8)
Inequivalent atoms, fractional coordinates:
Hf  0.000  0.000  0.000 x2
Cr  0.004  0.500  0.506 x2
Cu  0.287  0.000  0.440 x2
S  0.110  0.000  0.388 x2
S  0.113  0.500  0.864 x2
S  0.384  0.500  0.624 x2
S  0.385  0.000  0.146 x2

Peak list (10 most intense, 2θ from 10° to 80°, in order of rising 2θ)
Position (°2θ)	I (rel.)
14.16	100
18.81	38
21.88	38
29.27	70
29.47	36
32.94	22
34.80	81
44.88	36
48.54	37
51.48	34



(2)
Structure and theoretical powder XRD pattern of HfCrCuS4 (DFT lattice parameters and positions (PBE); Cu Kα X-rays).

Crystal structure
Lattice parameters (Å, degrees): 7.026 7.092 12.138 90.00 90.00 90.00
Space group Pnma (No. 62)
Inequivalent atoms, fractional coordinates:
Hf  0.058  0.250  0.171 x4
Cr  0.170  0.250  0.424 x4
Cu  0.231  0.250  0.886 x4
S  0.071  0.750  0.026 x4
S  0.143  0.750  0.560 x4
S  0.242  0.528  0.796 x8

Peak list (10 most intense, 2θ from 10° to 80°, in order of rising 2θ)
Position (°2θ)	I (rel.)
14.47	100
14.57	27
25.11	54
25.40	28
28.38	29
29.31	27
34.59	48
36.02	27
39.04	22
41.32	26



(3)
Structure and theoretical powder XRD pattern of HfCrCuS4 (DFT lattice parameters and positions (PBE); Cu Kα X-rays).

Crystal structure
Lattice parameters (Å, degrees): 5.906 3.563 6.050 90.00 91.88 90.00
Space group P2/m (No. 10)
Inequivalent atoms, fractional coordinates:
Hf  0.000  0.000  0.000 x1
Cr  0.000  0.500  0.500 x1
Cu  0.500  0.500  0.500 x1
S  0.239  0.000  0.659 x2
S  0.246  0.500  0.183 x2

Peak list (10 most intense, 2θ from 10° to 80°, in order of rising 2θ)
Position (°2θ)	I (rel.)
15.01	96
20.68	61
21.38	50
29.09	78
29.28	52
32.84	37
33.11	76
42.10	100
42.86	67
52.13	48